K12Rb7Pt: computed powder diffraction line list (Cu Kα, 1.54184 Å), based on the PBE geometry in Alexandria.

Most intense lines, 10° ≤ 2θ ≤ 90°, by intensity:
2θ = 23.27°, d 3.823, rel. 1000; 2θ = 26.37°, d 3.380, rel. 578; 2θ = 25.43°, d 3.503, rel. 499; 2θ = 30.08°, d 2.971, rel. 463; 2θ = 11.55°, d 7.659, rel. 437; 2θ = 36.05°, d 2.491, rel. 429; 2θ = 25.79°, d 3.455, rel. 327; 2θ = 30.97°, d 2.887, rel. 294; 2θ = 36.48°, d 2.463, rel. 262; 2θ = 21.40°, d 4.152, rel. 234

Atomic structure:
Cell lengths 14.6396, 14.6396, 14.6396 Å; angles 116.60, 116.60, 116.60 degrees
Fractional positions:
1 K 0.0000 0.4094 0.5906
2 K 0.0000 0.5906 0.4094
3 K 0.0300 0.0300 0.3875
4 K 0.0300 0.3875 0.0300
5 K 0.3875 0.0300 0.0300
6 K 0.4094 0.0000 0.5906
7 K 0.4094 0.5906 0.0000
8 K 0.5906 0.0000 0.4094
9 K 0.5906 0.4094 0.0000
10 K 0.6125 0.9700 0.9700
11 K 0.9700 0.6125 0.9700
12 K 0.9700 0.9700 0.6125
13 Rb 0.0000 0.0000 0.0000
14 Rb 0.1919 0.4069 0.4069
15 Rb 0.4069 0.1919 0.4069
16 Rb 0.4069 0.4069 0.1919
17 Rb 0.5931 0.5931 0.8081
18 Rb 0.5931 0.8081 0.5931
19 Rb 0.8081 0.5931 0.5931
20 Pt 0.5000 0.5000 0.5000

---

RbPmF4: computed powder diffraction line list (Cu Kα, 1.54184 Å), based on the PBE geometry in Alexandria.

Most intense lines, 10° ≤ 2θ ≤ 90°, by intensity:
2θ = 28.03°, d 3.184, rel. 1000; 2θ = 25.96°, d 3.432, rel. 795; 2θ = 40.62°, d 2.221, rel. 469; 2θ = 48.31°, d 1.884, rel. 382; 2θ = 28.84°, d 3.095, rel. 361; 2θ = 48.13°, d 1.891, rel. 284; 2θ = 10.86°, d 8.144, rel. 265; 2θ = 46.58°, d 1.950, rel. 211; 2θ = 49.56°, d 1.839, rel. 206; 2θ = 55.66°, d 1.651, rel. 198

Atomic structure:
Cell lengths 6.3767, 3.7676, 16.2871 Å; angles 90.00, 90.00, 90.00 degrees
Fractional positions:
1 Rb 0.2240 0.2500 0.2005
2 Rb 0.2760 0.7500 0.7005
3 Rb 0.7240 0.2500 0.2995
4 Rb 0.7760 0.7500 0.7995
5 Pm 0.2484 0.7500 0.4434
6 Pm 0.2516 0.2500 0.9434
7 Pm 0.7484 0.7500 0.0566
8 Pm 0.7516 0.2500 0.5566
9 F 0.0009 0.2500 0.0543
10 F 0.1002 0.2500 0.8162
11 F 0.1107 0.2500 0.3730
12 F 0.1314 0.2500 0.5360
13 F 0.3686 0.7500 0.0360
14 F 0.3893 0.7500 0.8730
15 F 0.3998 0.7500 0.3162
16 F 0.4991 0.7500 0.5543
17 F 0.5009 0.2500 0.4457
18 F 0.6002 0.2500 0.6838
19 F 0.6107 0.2500 0.1270
20 F 0.6314 0.2500 0.9640
21 F 0.8686 0.7500 0.4640
22 F 0.8893 0.7500 0.6270
23 F 0.8998 0.7500 0.1838
24 F 0.9991 0.7500 0.9457

---

Pm2PrTm4: computed powder diffraction line list (Cu Kα, 1.54184 Å), based on the PBE geometry in Alexandria.

Most intense lines, 10° ≤ 2θ ≤ 90°, by intensity:
2θ = 32.54°, d 2.752, rel. 1000; 2θ = 31.45°, d 2.844, rel. 243; 2θ = 28.39°, d 3.144, rel. 238; 2θ = 50.26°, d 1.815, rel. 198; 2θ = 60.55°, d 1.529, rel. 151; 2θ = 56.65°, d 1.625, rel. 104; 2θ = 56.74°, d 1.623, rel. 103; 2θ = 61.13°, d 1.516, rel. 83; 2θ = 83.05°, d 1.163, rel. 82; 2θ = 61.20°, d 1.514, rel. 82

Atomic structure:
Cell lengths 6.2843, 8.4846, 9.2173 Å; angles 95.32, 90.01, 111.65 degrees
Fractional positions:
1 Pm 0.0000 0.0000 0.0000
2 Pm 0.0434 0.4277 0.0708
3 Pm 0.4299 0.8614 0.1420
4 Pm 0.7618 0.8619 0.6429
5 Pr 0.2821 0.5731 0.4309
6 Pr 0.7142 0.4257 0.5707
7 Tm 0.1415 0.2869 0.7150
8 Tm 0.1905 0.7160 0.7877
9 Tm 0.3283 0.0039 0.5016
10 Tm 0.4738 0.2857 0.2127
11 Tm 0.5660 0.1447 0.8566
12 Tm 0.6157 0.5693 0.9280
13 Tm 0.8538 0.7161 0.2828
14 Tm 0.9030 0.1398 0.3571

---

Pm5Dy3Se8: computed powder diffraction line list (Cu Kα, 1.54184 Å), based on the PBE geometry in Alexandria.

Most intense lines, 10° ≤ 2θ ≤ 90°, by intensity:
2θ = 30.44°, d 2.937, rel. 1000; 2θ = 43.42°, d 2.084, rel. 374; 2θ = 43.75°, d 2.069, rel. 368; 2θ = 54.23°, d 1.691, rel. 195; 2θ = 71.65°, d 1.317, rel. 166; 2θ = 72.13°, d 1.310, rel. 166; 2θ = 26.35°, d 3.383, rel. 138; 2θ = 80.15°, d 1.197, rel. 124; 2θ = 63.34°, d 1.468, rel. 121; 2θ = 53.67°, d 1.708, rel. 66

Atomic structure:
Cell lengths 8.3366, 8.3366, 8.3366 Å; angles 59.52, 59.52, 59.52 degrees
Fractional positions:
1 Pm 0.0000 0.0000 0.0000
2 Pm 0.0000 0.5000 0.5000
3 Pm 0.5000 0.0000 0.5000
4 Pm 0.5000 0.5000 0.0000
5 Pm 0.5000 0.5000 0.5000
6 Dy 0.0000 0.0000 0.5000
7 Dy 0.0000 0.5000 0.0000
8 Dy 0.5000 0.0000 0.0000
9 Se 0.2419 0.7499 0.7499
10 Se 0.2460 0.2460 0.2460
11 Se 0.2501 0.2501 0.7581
12 Se 0.2501 0.7581 0.2501
13 Se 0.7499 0.2419 0.7499
14 Se 0.7499 0.7499 0.2419
15 Se 0.7540 0.7540 0.7540
16 Se 0.7581 0.2501 0.2501

---

K2LiHg6Pb: computed powder diffraction line list (Cu Kα, 1.54184 Å), based on the PBE geometry in Alexandria.

Most intense lines, 10° ≤ 2θ ≤ 90°, by intensity:
2θ = 27.91°, d 3.196, rel. 1000; 2θ = 27.05°, d 3.296, rel. 909; 2θ = 27.36°, d 3.260, rel. 877; 2θ = 14.04°, d 6.306, rel. 834; 2θ = 36.73°, d 2.447, rel. 661; 2θ = 13.94°, d 6.351, rel. 492; 2θ = 35.99°, d 2.496, rel. 471; 2θ = 35.21°, d 2.549, rel. 413; 2θ = 38.48°, d 2.339, rel. 347; 2θ = 43.04°, d 2.101, rel. 341

Atomic structure:
Cell lengths 7.4042, 7.4531, 7.5462 Å; angles 62.17, 63.54, 64.01 degrees
Fractional positions:
1 K 0.1860 0.4283 0.2069
2 K 0.8140 0.5717 0.7931
3 Li 0.0000 0.0000 0.0000
4 Hg 0.1320 0.8761 0.3411
5 Hg 0.3315 0.1435 0.8816
6 Hg 0.3342 0.8757 0.6698
7 Hg 0.6658 0.1243 0.3302
8 Hg 0.6685 0.8565 0.1184
9 Hg 0.8680 0.1239 0.6589
10 Pb 0.5000 0.5000 0.5000

---

Al2GaBPt: computed powder diffraction line list (Cu Kα, 1.54184 Å), based on the PBE geometry in Alexandria.

Most intense lines, 10° ≤ 2θ ≤ 90°, by intensity:
2θ = 37.26°, d 2.413, rel. 1000; 2θ = 20.08°, d 4.423, rel. 478; 2θ = 31.06°, d 2.879, rel. 402; 2θ = 44.50°, d 2.036, rel. 333; 2θ = 29.83°, d 2.996, rel. 295; 2θ = 61.95°, d 1.498, rel. 247; 2θ = 77.15°, d 1.236, rel. 241; 2θ = 21.83°, d 4.072, rel. 229; 2θ = 40.81°, d 2.211, rel. 214; 2θ = 49.27°, d 1.849, rel. 197

Atomic structure:
Cell lengths 4.0722, 4.0722, 4.4225 Å; angles 90.00, 90.00, 90.00 degrees
Fractional positions:
1 Al 0.0000 0.5000 0.0000
2 Al 0.5000 0.0000 0.0000
3 Ga 0.0000 0.0000 0.5000
4 B 0.0000 0.0000 0.0000
5 Pt 0.5000 0.5000 0.5000